Theoretical powder X-ray diffraction pattern
Compound: Zr5ZnRu
Radiation: a wavelength of 1.5418 Å
Structure: DFT lattice parameters and positions (GGA-PBE)

Most intense lines, 2θ = 15–90°, sorted by position:
Position (°2θ)  Rel. int.
29.21  38
31.67  24
33.37  100
36.26  29
39.98  50
40.45  34

Structure:
abc: 7.8603 8.1318 9.2980
angles: 90.00 92.08 90.00
Space group C2/c (No. 15)
Unique sites:
Zr 0.0000 0.1469 0.2500
Zr 0.1630 0.3962 0.4980
Zr 0.1737 0.2053 0.8379
Zn 0.0000 0.4991 0.7500
Ru 0.0000 0.0000 0.0000